(1)
The following is a calculated X-ray powder pattern of Nd2SO6. It was derived from DFT lattice parameters and positions (GGA-PBE), using Cu Ka.
No peak broadening, texture or thermal motion is included.

Structure:
Unit cell a=4.1798 b=4.1928 c=14.7336 alpha=90.00 beta=90.00 gamma=90.00
Space group I222 (No. 23)
Inequivalent atoms, fractional coordinates:
Nd 0.0000 0.0000 0.1735 [4 per cell]
S 0.0000 0.0000 0.5000 [2 per cell]
O 0.0000 0.5000 0.2500 [4 per cell]
O 0.2024 0.2018 0.4405 [8 per cell]

Most intense lines, 2θ = 5–70°, by intensity:
| Position (°2θ) | I/Imax | hkl |
| --- | --- | --- |
| 28.0 | 1000 | 1 0 3 |
| 30.2 | 327 | 1 1 0 |
| 52.3 | 318 | 2 1 3 |
| 48.1 | 239 | 1 1 6 |
| 12.0 | 200 | 0 0 2 |
| 37.3 | 121 | 1 0 5 |
| 22.1 | 100 | 1 0 1 |
| 60.7 | 83 | 1 0 9 |

=====

(2)
The following is a calculated X-ray powder pattern of Nd2S3O20. It was derived from DFT lattice parameters and positions (GGA-PBE), using Cu Ka.
No peak broadening, texture or thermal motion is included.

Structure:
Unit cell a=11.9474 b=6.9973 c=20.0657 alpha=90.00 beta=99.89 gamma=90.00
Space group C2/c (No. 15)
Inequivalent atoms, fractional coordinates:
Nd 0.1689 0.0117 0.3920 [8 per cell]
S 0.0000 0.2598 0.2500 [4 per cell]
S 0.2090 0.0162 0.0794 [8 per cell]
O 0.0050 0.1881 0.6485 [8 per cell]
O 0.0082 0.2886 0.0850 [8 per cell]
O 0.0211 0.3915 0.1935 [8 per cell]
O 0.0990 0.1408 0.2780 [8 per cell]
O 0.1191 0.0345 0.1233 [8 per cell]
O 0.1255 0.4992 0.0791 [8 per cell]
O 0.1554 0.0205 0.0068 [8 per cell]
O 0.1851 0.4646 0.1813 [8 per cell]
O 0.2114 0.3217 0.9043 [8 per cell]
O 0.2295 0.3350 0.4053 [8 per cell]

Most intense lines, 2θ = 5–70°, by intensity:
| Position (°2θ) | I/Imax | hkl |
| --- | --- | --- |
| 17.9 | 1000 | 0 0 4 |
| 16.2 | 498 | 2 0 -2 |
| 26.0 | 425 | 3 1 0 |
| 25.5 | 366 | 0 2 0 |
| 14.7 | 317 | 1 1 0 |
| 15.0 | 258 | 2 0 0 |
| 27.1 | 232 | 0 0 6 |
| 29.7 | 214 | 2 2 0 |

=====

(3)
The following is a calculated X-ray powder pattern of Nd2S3O17. It was derived from DFT lattice parameters and positions (GGA-PBE), using Cu Ka.
No peak broadening, texture or thermal motion is included.

Structure:
Unit cell a=15.9684 b=10.1900 c=10.1895 alpha=90.00 beta=121.71 gamma=90.00
Space group Cc (No. 9)
Inequivalent atoms, fractional coordinates:
Nd 0.0000 0.1289 0.0000 [4 per cell]
Nd 0.2687 0.3677 0.8486 [4 per cell]
S 0.0266 0.2087 0.6624 [4 per cell]
S 0.2423 0.2923 0.1874 [4 per cell]
S 0.3832 0.3768 0.6723 [4 per cell]
O 0.0211 0.2158 0.8028 [4 per cell]
O 0.0592 0.0723 0.6520 [4 per cell]
O 0.1019 0.3027 0.6757 [4 per cell]
O 0.1300 0.0094 0.5056 [4 per cell]
O 0.1422 0.4868 0.3438 [4 per cell]
O 0.1663 0.1995 0.1744 [4 per cell]
O 0.2098 0.4298 0.1946 [4 per cell]
O 0.2490 0.2814 0.0482 [4 per cell]
O 0.2957 0.3009 0.6387 [4 per cell]
O 0.3166 0.0462 0.8552 [4 per cell]
O 0.3384 0.2630 0.3272 [4 per cell]
O 0.3623 0.4656 0.5400 [4 per cell]
O 0.3880 0.0294 0.8324 [4 per cell]
O 0.4078 0.4609 0.8100 [4 per cell]
O 0.4302 0.2604 0.0240 [4 per cell]
O 0.4601 0.0421 0.4292 [4 per cell]
O 0.4680 0.2957 0.7020 [4 per cell]

Most intense lines, 2θ = 5–70°, by intensity:
| Position (°2θ) | I/Imax | hkl |
| --- | --- | --- |
| 10.9 | 1000 | 1 1 0 |
| 17.6 | 342 | 2 0 -2 |
| 27.9 | 338 | 3 1 -3 |
| 27.0 | 321 | 2 2 1 |
| 17.1 | 252 | 1 1 1 |
| 27.1 | 209 | 1 3 0 |
| 33.3 | 208 | 4 2 -3 |
| 26.2 | 163 | 4 0 0 |

=====

(4)
The following is a calculated X-ray powder pattern of Nd2Ti2S2O5. It was derived from DFT lattice parameters and positions (GGA-PBE), using Cu Ka.
No peak broadening, texture or thermal motion is included.

Structure:
Unit cell a=3.8680 b=3.8680 c=23.3949 alpha=90.00 beta=90.00 gamma=90.00
Space group I4/mmm (No. 139)
Inequivalent atoms, fractional coordinates:
Nd 0.0000 0.0000 0.1657 [4 per cell]
Ti 0.0000 0.0000 0.4226 [4 per cell]
S 0.0000 0.0000 0.2964 [4 per cell]
O 0.0000 0.0000 0.5000 [2 per cell]
O 0.0000 0.5000 0.0965 [8 per cell]

Most intense lines, 2θ = 5–70°, by intensity:
| Position (°2θ) | I/Imax | hkl |
| --- | --- | --- |
| 25.7 | 1000 | 1 0 3 |
| 32.7 | 615 | 1 1 0 |
| 7.6 | 550 | 0 0 2 |
| 35.5 | 514 | 1 0 7 |
| 15.1 | 480 | 0 0 4 |
| 47.0 | 376 | 2 0 0 |
| 41.9 | 364 | 1 0 9 |
| 40.3 | 345 | 1 1 6 |

=====

(5)
The following is a calculated X-ray powder pattern of NdSbO4. It was derived from DFT lattice parameters and positions (GGA-PBE), using Cu Ka.
No peak broadening, texture or thermal motion is included.

Structure:
Unit cell a=7.7726 b=5.5591 c=7.7426 alpha=90.00 beta=100.16 gamma=90.00
Space group P2_1/c (No. 14)
Inequivalent atoms, fractional coordinates:
Nd 0.1491 0.2254 0.3974 [4 per cell]
Sb 0.3367 0.7323 0.1975 [4 per cell]
O 0.1198 0.5235 0.1735 [4 per cell]
O 0.1735 0.9996 0.1283 [4 per cell]
O 0.3306 0.6364 0.9437 [4 per cell]
O 0.4378 0.0901 0.7988 [4 per cell]

Most intense lines, 2θ = 5–70°, by intensity:
| Position (°2θ) | I/Imax | hkl |
| --- | --- | --- |
| 28.4 | 1000 | 2 1 0 |
| 29.1 | 203 | 1 1 -2 |
| 32.2 | 165 | 0 2 0 |
| 49.1 | 145 | 2 2 2 |
| 55.1 | 133 | 2 3 0 |
| 23.3 | 123 | 2 0 0 |
| 47.1 | 97 | 1 0 -4 |
| 57.5 | 94 | 3 1 -4 |